Diffraction record for CaTb3N4. The XRD peak list is theoretical, not measured: it uses a crystal structure in Alexandria, relaxed with GGA-PBE and Cu Kα X-rays.

Cell and atoms:
a = 4.943 Å, b = 4.943 Å, c = 4.943 Å
α = 90.00°, β = 90.00°, γ = 90.00°
Positions (direct):
Ca1 0.000 0.000 0.000
Tb1 0.000 0.500 0.500
Tb2 0.500 0.000 0.500
Tb3 0.500 0.500 0.000
N1 0.000 0.000 0.500
N2 0.000 0.500 0.000
N3 0.500 0.000 0.000
N4 0.500 0.500 0.500

Main lines, low angle first (10 to 80 degrees two-theta):
- 17.95°, d 4.943, rel. 18
- 25.48°, d 3.495, rel. 16
- 31.35°, d 2.854, rel. 100
- 36.35°, d 2.471, rel. 78
- 40.82°, d 2.211, rel. 9
- 44.92°, d 2.018, rel. 7
- 52.35°, d 1.748, rel. 53
- 62.30°, d 1.490, rel. 45
- 65.41°, d 1.427, rel. 18
- 77.20°, d 1.236, rel. 8


Diffraction record for Pm3Sm2Y6In. The XRD peak list is theoretical, not measured: it uses a crystal structure in Alexandria, relaxed with GGA-PBE and Cu Kα X-rays.

Cell and atoms:
a = 6.169 Å, b = 6.169 Å, c = 11.787 Å
α = 95.02°, β = 95.02°, γ = 120.02°
Positions (direct):
Pm1 0.000 0.000 0.000
Pm2 0.333 0.667 0.000
Pm3 0.667 0.333 0.000
Sm1 0.166 0.834 0.500
Sm2 0.834 0.166 0.500
Y1 0.092 0.419 0.255
Y2 0.255 0.255 0.746
Y3 0.419 0.092 0.255
Y4 0.581 0.908 0.745
Y5 0.745 0.745 0.254
Y6 0.908 0.581 0.745
In1 0.500 0.500 0.500

Main lines, low angle first (10 to 80 degrees two-theta):
- 15.27°, d 5.803, rel. 8
- 29.41°, d 3.037, rel. 5
- 30.76°, d 2.907, rel. 100
- 30.82°, d 2.901, rel. 33
- 35.68°, d 2.516, rel. 67
- 51.35°, d 1.779, rel. 47
- 61.05°, d 1.518, rel. 41
- 61.13°, d 1.516, rel. 14
- 64.06°, d 1.454, rel. 12
- 75.57°, d 1.258, rel. 7


Diffraction record for Rb2TlCu2Br7. The XRD peak list is theoretical, not measured: it uses a crystal structure in Alexandria, relaxed with GGA-PBE and Cu Kα X-rays.

Cell and atoms:
a = 5.221 Å, b = 5.221 Å, c = 14.013 Å
α = 100.70°, β = 100.70°, γ = 90.01°
Positions (direct):
Rb1 0.179 0.179 0.359
Rb2 0.821 0.821 0.641
Tl1 0.000 0.000 0.000
Cu1 0.405 0.405 0.809
Cu2 0.595 0.595 0.191
Br1 0.090 0.590 0.181
Br2 0.311 0.311 0.621
Br3 0.410 0.910 0.819
Br4 0.500 0.500 0.000
Br5 0.590 0.090 0.181
Br6 0.689 0.689 0.379
Br7 0.910 0.410 0.819

Main lines, low angle first (10 to 80 degrees two-theta):
- 23.69°, d 3.756, rel. 21
- 24.11°, d 3.692, rel. 33
- 27.53°, d 3.240, rel. 34
- 31.32°, d 2.856, rel. 100
- 33.13°, d 2.704, rel. 30
- 34.35°, d 2.610, rel. 86
- 48.47°, d 1.878, rel. 40
- 49.37°, d 1.846, rel. 30
- 59.64°, d 1.550, rel. 31
- 60.75°, d 1.525, rel. 20


Diffraction record for PmY5Cd. The XRD peak list is theoretical, not measured: it uses a crystal structure in Alexandria, relaxed with GGA-PBE and Cu Kα X-rays.

Cell and atoms:
a = 6.751 Å, b = 6.751 Å, c = 12.602 Å
α = 109.26°, β = 109.26°, γ = 57.22°
Positions (direct):
Pm1 0.225 0.775 0.750
Pm2 0.775 0.225 0.250
Y1 0.207 0.271 0.690
Y2 0.255 0.745 0.250
Y3 0.271 0.207 0.190
Y4 0.311 0.363 0.972
Y5 0.363 0.311 0.472
Y6 0.637 0.689 0.528
Y7 0.689 0.637 0.028
Y8 0.729 0.793 0.810
Y9 0.745 0.255 0.750
Y10 0.793 0.729 0.310
Cd1 0.000 0.000 0.000
Cd2 0.000 0.000 0.500

Main lines, low angle first (10 to 80 degrees two-theta):
- 28.00°, d 3.186, rel. 55
- 28.73°, d 3.107, rel. 44
- 30.32°, d 2.948, rel. 55
- 30.62°, d 2.920, rel. 71
- 31.62°, d 2.829, rel. 93
- 32.13°, d 2.786, rel. 65
- 32.88°, d 2.724, rel. 100
- 34.21°, d 2.621, rel. 79
- 36.26°, d 2.477, rel. 61
- 54.53°, d 1.683, rel. 46


Diffraction record for Ni8IrPd2. The XRD peak list is theoretical, not measured: it uses a crystal structure in Alexandria, relaxed with GGA-PBE and Cu Kα X-rays.

Cell and atoms:
a = 3.845 Å, b = 6.291 Å, c = 6.291 Å
α = 106.99°, β = 90.00°, γ = 90.00°
Positions (direct):
Ni1 0.000 0.000 0.000
Ni2 0.000 0.338 0.338
Ni3 0.000 0.432 0.904
Ni4 0.000 0.904 0.432
Ni5 0.500 0.380 0.633
Ni6 0.500 0.633 0.380
Ni7 0.500 0.705 0.959
Ni8 0.500 0.959 0.705
Ir1 0.000 0.669 0.669
Pd1 0.500 0.042 0.296
Pd2 0.500 0.296 0.042

Main lines, low angle first (10 to 80 degrees two-theta):
- 17.54°, d 5.056, rel. 18
- 23.78°, d 3.742, rel. 34
- 27.53°, d 3.240, rel. 29
- 42.81°, d 2.112, rel. 100
- 44.19°, d 2.049, rel. 95
- 45.22°, d 2.005, rel. 41
- 47.28°, d 1.923, rel. 38
- 49.55°, d 1.840, rel. 18
- 58.77°, d 1.571, rel. 22
- 67.49°, d 1.388, rel. 23


Diffraction record for TbPm3Cd6. The XRD peak list is theoretical, not measured: it uses a crystal structure in Alexandria, relaxed with GGA-PBE and Cu Kα X-rays.

Cell and atoms:
a = 9.386 Å, b = 5.209 Å, c = 11.177 Å
α = 90.00°, β = 105.02°, γ = 90.00°
Positions (direct):
Tb1 0.055 0.250 0.394
Tb2 0.945 0.750 0.606
Pm1 0.237 0.250 0.997
Pm2 0.349 0.750 0.784
Pm3 0.474 0.250 0.608
Pm4 0.526 0.750 0.392
Pm5 0.651 0.250 0.216
Pm6 0.763 0.750 0.003
Cd1 0.049 0.750 0.894
Cd2 0.139 0.250 0.693
Cd3 0.146 0.750 0.189
Cd4 0.233 0.750 0.487
Cd5 0.333 0.250 0.292
Cd6 0.450 0.750 0.090
Cd7 0.550 0.250 0.910
Cd8 0.667 0.750 0.708
Cd9 0.767 0.250 0.513
Cd10 0.854 0.250 0.811
Cd11 0.861 0.750 0.307
Cd12 0.951 0.250 0.106

Main lines, low angle first (10 to 80 degrees two-theta):
- 33.41°, d 2.682, rel. 100
- 33.79°, d 2.652, rel. 96
- 33.97°, d 2.639, rel. 48
- 34.44°, d 2.604, rel. 48
- 47.36°, d 1.920, rel. 17
- 49.15°, d 1.854, rel. 33
- 59.86°, d 1.545, rel. 16
- 60.20°, d 1.537, rel. 17
- 61.04°, d 1.518, rel. 17
- 61.28°, d 1.513, rel. 17


Diffraction record for Ac3TlSn4. The XRD peak list is theoretical, not measured: it uses a crystal structure in Alexandria, relaxed with GGA-PBE and Cu Kα X-rays.

Cell and atoms:
a = 9.521 Å, b = 9.521 Å, c = 9.521 Å
α = 150.61°, β = 135.41°, γ = 54.30°
Positions (direct):
Ac1 0.000 0.000 0.000
Ac2 0.314 0.814 0.500
Ac3 0.686 0.186 0.500
Tl1 0.500 0.500 0.000
Sn1 0.072 0.373 0.700
Sn2 0.327 0.627 0.700
Sn3 0.673 0.373 0.300
Sn4 0.928 0.627 0.300

Main lines, low angle first (10 to 80 degrees two-theta):
- 24.53°, d 3.629, rel. 100
- 30.68°, d 2.914, rel. 38
- 31.37°, d 2.852, rel. 22
- 32.27°, d 2.774, rel. 26
- 32.58°, d 2.748, rel. 29
- 34.85°, d 2.575, rel. 36
- 37.23°, d 2.415, rel. 30
- 43.32°, d 2.089, rel. 22
- 50.29°, d 1.814, rel. 18
- 61.37°, d 1.511, rel. 25


Diffraction record for SrNd3Co. The XRD peak list is theoretical, not measured: it uses a crystal structure in Alexandria, relaxed with GGA-PBE and Cu Kα X-rays.

Cell and atoms:
a = 5.569 Å, b = 5.569 Å, c = 5.569 Å
α = 90.00°, β = 90.00°, γ = 90.00°
Positions (direct):
Sr1 0.000 0.000 0.000
Nd1 0.000 0.500 0.500
Nd2 0.500 0.000 0.500
Nd3 0.500 0.500 0.000
Co1 0.500 0.500 0.500

Main lines, low angle first (10 to 80 degrees two-theta):
- 15.91°, d 5.569, rel. 19
- 27.75°, d 3.215, rel. 100
- 32.15°, d 2.784, rel. 83
- 36.06°, d 2.490, rel. 10
- 46.10°, d 1.969, rel. 60
- 54.66°, d 1.679, rel. 46
- 57.31°, d 1.608, rel. 21
- 67.25°, d 1.392, rel. 10
- 74.23°, d 1.278, rel. 19
- 76.50°, d 1.245, rel. 27


Diffraction record for NdGa2SiPd. The XRD peak list is theoretical, not measured: it uses a crystal structure in Alexandria, relaxed with GGA-PBE and Cu Kα X-rays.

Cell and atoms:
a = 6.110 Å, b = 6.110 Å, c = 6.110 Å
α = 140.21°, β = 139.85°, γ = 57.81°
Positions (direct):
Nd1 0.000 0.000 0.000
Ga1 0.386 0.386 0.000
Ga2 0.750 0.250 0.500
Si1 0.614 0.614 0.000
Pd1 0.239 0.739 0.500

Main lines, low angle first (10 to 80 degrees two-theta):
- 32.97°, d 2.717, rel. 16
- 33.09°, d 2.707, rel. 26
- 33.51°, d 2.674, rel. 12
- 34.70°, d 2.585, rel. 100
- 43.14°, d 2.097, rel. 21
- 43.53°, d 2.079, rel. 20
- 47.75°, d 1.905, rel. 20
- 55.68°, d 1.651, rel. 12
- 60.67°, d 1.526, rel. 13
- 62.95°, d 1.477, rel. 13


Diffraction record for SiPCl. The XRD peak list is theoretical, not measured: it uses a crystal structure in Alexandria, relaxed with GGA-PBE and Cu Kα X-rays.

Cell and atoms:
a = 6.342 Å, b = 8.536 Å, c = 5.959 Å
α = 90.00°, β = 90.00°, γ = 90.00°
Positions (direct):
Si1 0.089 0.103 0.000
Si2 0.411 0.103 0.500
Si3 0.589 0.897 0.000
Si4 0.911 0.897 0.500
P1 0.073 0.118 0.618
P2 0.427 0.118 0.118
P3 0.573 0.882 0.618
P4 0.927 0.882 0.118
Cl1 0.038 0.685 0.600
Cl2 0.462 0.685 0.100
Cl3 0.538 0.315 0.600
Cl4 0.962 0.315 0.100

Main lines, low angle first (10 to 80 degrees two-theta):
- 10.36°, d 8.536, rel. 100
- 22.98°, d 3.871, rel. 44
- 25.15°, d 3.541, rel. 27
- 28.14°, d 3.171, rel. 33
- 29.34°, d 3.044, rel. 42
- 29.99°, d 2.979, rel. 43
- 41.59°, d 2.171, rel. 15
- 48.03°, d 1.894, rel. 18
- 52.83°, d 1.733, rel. 26
- 57.66°, d 1.599, rel. 12


Diffraction record for TlBiAu10. The XRD peak list is theoretical, not measured: it uses a crystal structure in Alexandria, relaxed with GGA-PBE and Cu Kα X-rays.

Cell and atoms:
a = 4.695 Å, b = 5.628 Å, c = 9.791 Å
α = 90.00°, β = 90.00°, γ = 90.00°
Positions (direct):
Tl1 0.000 0.000 0.000
Bi1 0.000 0.500 0.500
Au1 0.000 0.000 0.335
Au2 0.000 0.000 0.665
Au3 0.000 0.500 0.167
Au4 0.000 0.500 0.833
Au5 0.500 0.000 0.500
Au6 0.500 0.254 0.255
Au7 0.500 0.254 0.745
Au8 0.500 0.500 0.000
Au9 0.500 0.746 0.255
Au10 0.500 0.746 0.745

Main lines, low angle first (10 to 80 degrees two-theta):
- 18.16°, d 4.885, rel. 17
- 26.33°, d 3.385, rel. 16
- 36.84°, d 2.440, rel. 19
- 37.19°, d 2.418, rel. 100
- 38.34°, d 2.347, rel. 34
- 41.72°, d 2.165, rel. 26
- 54.19°, d 1.692, rel. 19
- 60.21°, d 1.537, rel. 17
- 68.58°, d 1.368, rel. 17
- 79.17°, d 1.210, rel. 17


Diffraction record for TlInHgPb2. The XRD peak list is theoretical, not measured: it uses a crystal structure in Alexandria, relaxed with GGA-PBE and Cu Kα X-rays.

Cell and atoms:
a = 7.289 Å, b = 5.267 Å, c = 7.616 Å
α = 90.00°, β = 90.65°, γ = 90.00°
Positions (direct):
Tl1 0.244 0.250 0.248
Tl2 0.756 0.750 0.752
In1 0.438 0.250 0.657
In2 0.562 0.750 0.343
Hg1 0.052 0.250 0.847
Hg2 0.948 0.750 0.153
Pb1 0.161 0.750 0.543
Pb2 0.343 0.750 0.955
Pb3 0.657 0.250 0.045
Pb4 0.839 0.250 0.457

Main lines, low angle first (10 to 80 degrees two-theta):
- 31.59°, d 2.832, rel. 100
- 31.99°, d 2.798, rel. 95
- 34.04°, d 2.634, rel. 41
- 37.38°, d 2.406, rel. 31
- 39.04°, d 2.307, rel. 28
- 51.45°, d 1.776, rel. 26
- 52.75°, d 1.735, rel. 24
- 59.40°, d 1.556, rel. 17
- 59.64°, d 1.550, rel. 16
- 63.59°, d 1.463, rel. 14